Diffraction record for UPt. The powder XRD pattern is theoretical, not measured: it uses a crystal structure in the Materials Project, relaxed with PBE and λ = 1.5418 Å (Cu Kα).
Intensities are scaled so that the largest is 100.

Principal peaks in the range 2θ from 10° to 80°, most intense first:
Position (°2θ)	Rel. int.	hkl
31.73	100	1 1 1
40.39	73	1 3 1
34.71	38	0 4 0
74.39	27	2 4 2
42.49	26	0 0 2
44.81	22	2 0 0
55.99	20	0 4 2
57.89	18	2 4 0
63.46	16	2 0 2
71.54	13	1 7 1

Crystal structure
a b c (Å): 4.045 10.337 4.255
angles (deg): 90.00 90.00 90.00
Space group Cmcm (No. 63)
Unique sites:
U: 0.000 0.129 0.250 [4 per cell]
Pt: 0.000 0.399 0.250 [4 per cell]

***

Diffraction record for NdSnAu. The powder XRD pattern is theoretical, not measured: it uses a crystal structure in the Materials Project, relaxed with PBE and λ = 1.5418 Å (Cu Kα).
Intensities are scaled so that the largest is 100.

Principal peaks in the range 2θ from 10° to 80°, most intense first:
Position (°2θ)	Rel. int.	hkl
31.15	100	1 0 2
37.16	90	1 1 0
40.52	32	0 1 3
11.22	29	0 0 1
49.25	28	0 2 2
63.28	27	2 1 2
67.00	16	3 0 0
60.59	15	1 1 4
69.26	14	1 2 3
71.40	13	1 1 5

Crystal structure
a b c (Å): 4.8388 4.8388 7.8842
angles (deg): 90.00 90.00 120.00
Space group P-3m1 (No. 164)
Unique sites:
Nd: 0.0000 0.0000 0.2172 [2 per cell]
Sn: 0.3333 0.6667 0.5611 [2 per cell]
Au: 0.3333 0.6667 0.9794 [2 per cell]

***

Diffraction record for CaAlH5. The powder XRD pattern is theoretical, not measured: it uses a crystal structure in the Materials Project, relaxed with PBE and λ = 1.5418 Å (Cu Kα).
Intensities are scaled so that the largest is 100.

Principal peaks in the range 2θ from 10° to 80°, most intense first:
Position (°2θ)	Rel. int.	hkl
28.89	100	0 2 0
32.09	91	1 1 -4
29.97	85	3 0 0
22.67	74	2 1 -2
13.66	54	1 0 -2
38.36	43	4 1 -4
17.44	40	1 1 0
21.74	37	0 1 2
28.56	35	1 0 -4
36.02	27	0 1 4

Crystal structure
a b c (Å): 10.684 6.187 12.998
angles (deg): 90.00 123.04 90.00
Space group P2_1/c (No. 14)
Unique sites:
Ca: 0.028 0.190 0.201 [4 per cell]
Ca: 0.330 0.679 0.350 [4 per cell]
Al: 0.250 0.708 0.081 [4 per cell]
Al: 0.323 0.232 0.519 [4 per cell]
H: 0.068 0.691 0.988 [4 per cell]
H: 0.122 0.505 0.267 [4 per cell]
H: 0.145 0.246 0.946 [4 per cell]
H: 0.148 0.597 0.807 [4 per cell]
H: 0.278 0.616 0.495 [4 per cell]
H: 0.280 0.610 0.687 [4 per cell]
H: 0.290 0.004 0.675 [4 per cell]
H: 0.360 0.537 0.031 [4 per cell]
H: 0.398 0.186 0.940 [4 per cell]
H: 0.454 0.188 0.157 [4 per cell]

***

Diffraction record for GdPO4. The powder XRD pattern is theoretical, not measured: it uses a crystal structure in the Materials Project, relaxed with PBE and λ = 1.5418 Å (Cu Kα).
Intensities are scaled so that the largest is 100.

Principal peaks in the range 2θ from 10° to 80°, most intense first:
Position (°2θ)	Rel. int.	hkl
29.20	100	0 2 1
31.66	60	2 1 -2
27.27	57	0 0 2
21.43	51	1 1 0
42.52	43	3 0 -2
19.23	32	1 1 -1
46.98	30	2 1 -4
53.40	30	2 3 -3
49.18	25	2 3 -1
34.65	24	2 0 0

Crystal structure
a b c (Å): 6.388 6.921 8.070
angles (deg): 90.00 125.85 90.00
Space group P2_1/c (No. 14)
Unique sites:
Gd: 0.190 0.154 0.284 [4 per cell]
P: 0.310 0.660 0.198 [4 per cell]
O: 0.120 0.665 0.616 [4 per cell]
O: 0.182 0.502 0.248 [4 per cell]
O: 0.344 0.599 0.030 [4 per cell]
O: 0.410 0.208 0.121 [4 per cell]

***

Diffraction record for In3Au. The powder XRD pattern is theoretical, not measured: it uses a crystal structure in the Materials Project, relaxed with PBE and λ = 1.5418 Å (Cu Kα).
Intensities are scaled so that the largest is 100.

Principal peaks in the range 2θ from 10° to 80°, most intense first:
Position (°2θ)	Rel. int.	hkl
35.22	100	2 0 1
29.94	26	2 0 0
36.72	20	0 0 2
66.34	20	2 2 2
53.15	20	2 2 0
65.16	16	2 0 3
65.37	15	4 0 1
48.08	14	2 0 2
14.84	6	1 0 0
44.20	5	2 1 1

Crystal structure
a b c (Å): 6.8931 6.8931 4.8947
angles (deg): 90.00 90.00 120.00
Space group P6_3/mmc (No. 194)
Unique sites:
In: 0.1751 0.3501 0.2500 [6 per cell]
Au: 0.3333 0.6667 0.7500 [2 per cell]

***

Diffraction record for TcF6. The powder XRD pattern is theoretical, not measured: it uses a crystal structure in the Materials Project, relaxed with PBE and λ = 1.5418 Å (Cu Kα).
Intensities are scaled so that the largest is 100.

Principal peaks in the range 2θ from 10° to 80°, most intense first:
Position (°2θ)	Rel. int.	hkl
21.64	100	2 1 0
20.74	83	0 2 0
22.79	69	1 1 1
20.25	44	1 0 1
29.16	28	1 2 1
41.29	21	2 3 1
46.87	20	3 3 1
36.90	17	2 3 0
62.15	15	5 3 1
26.17	13	2 0 1

Crystal structure
a b c (Å): 9.364 8.557 4.962
angles (deg): 90.00 90.00 90.00
Space group Pnma (No. 62)
Unique sites:
Tc: 0.129 0.250 0.080 [4 per cell]
F: 0.014 0.250 0.777 [4 per cell]
F: 0.016 0.097 0.236 [8 per cell]
F: 0.243 0.097 0.927 [8 per cell]
F: 0.245 0.250 0.384 [4 per cell]